CaLaMnRuO6: simulated powder diffractogram (λ = 1.5418 Å (Cu Kα)), based on a crystal structure in Alexandria, relaxed with GGA+U.

Top 10 peaks for 10 to 80 degrees two-theta, by angle:
d (Å), I_rel
4.652, 21
4.541, 22
2.873, 23
2.811, 100
2.770, 24
1.994, 25
1.981, 15
1.647, 13
1.607, 24
1.405, 12

Structural model:
abc: 5.5392 5.7461 9.6623
angles: 90.00 124.89 90.00
Space group Pc (No. 7)
Asymmetric unit:
Ca (0.0000, 0.1915, 0.0000)
La (0.5253, 0.3030, 0.4978)
Mn (0.2657, 0.2471, 0.7502)
Ru (0.7636, 0.2486, 0.2482)
O (0.0074, 0.4405, 0.2003)
O (0.0988, 0.2140, 0.4901)
O (0.4226, 0.2816, 0.0090)
O (0.5242, 0.0537, 0.2973)
O (0.6313, 0.4620, 0.8034)
O (0.9031, 0.0368, 0.6962)